(1)
For PmP2Pd8, a cell relaxed with PBE gives the computed powder X-ray diffraction pattern in this record (Cu Kα).

```
data_PmP2Pd8
_cell_length_a 5.5226
_cell_length_b 5.5226
_cell_length_c 7.2157
_cell_angle_alpha 90.00
_cell_angle_beta 90.00
_cell_angle_gamma 90.00
_symmetry_space_group_name_H-M 'P 1'
_symmetry_Int_Tables_number 1
loop_
_symmetry_equiv_pos_as_xyz
'x,y,z'
loop_
_atom_site_label
_atom_site_type_symbol
_atom_site_fract_x
_atom_site_fract_y
_atom_site_fract_z
Pm1 Pm 0.0000 0.0000 0.0000
P1 P 0.0000 0.5000 0.5000
P2 P 0.5000 0.0000 0.5000
Pd1 Pd 0.2529 0.2529 0.3025
Pd2 Pd 0.2529 0.2529 0.6975
Pd3 Pd 0.2529 0.7471 0.3025
Pd4 Pd 0.2529 0.7471 0.6975
Pd5 Pd 0.7471 0.2529 0.3025
Pd6 Pd 0.7471 0.2529 0.6975
Pd7 Pd 0.7471 0.7471 0.3025
Pd8 Pd 0.7471 0.7471 0.6975
```

Main lines, low angle first (10° ≤ 2θ ≤ 90°):
d [Å], I (rel.)
7.216, 27
3.608, 28
2.761, 53
2.579, 27
2.405, 27
2.193, 100
1.953, 51
1.814, 28

***

(2)
For PmP2Pd3, a cell relaxed with PBE gives the computed powder X-ray diffraction pattern in this record (Cu Kα).

```
data_PmP2Pd3
_cell_length_a 8.3785
_cell_length_b 8.3785
_cell_length_c 9.9046
_cell_angle_alpha 107.48
_cell_angle_beta 107.48
_cell_angle_gamma 27.59
_symmetry_space_group_name_H-M 'P 1'
_symmetry_Int_Tables_number 1
loop_
_symmetry_equiv_pos_as_xyz
'x,y,z'
loop_
_atom_site_label
_atom_site_type_symbol
_atom_site_fract_x
_atom_site_fract_y
_atom_site_fract_z
Pm1 Pm 0.0000 0.0000 0.0000
Pm2 Pm 0.1505 0.1505 0.6999
Pm3 Pm 0.8495 0.8495 0.3001
P1 P 0.2016 0.2016 0.1330
P2 P 0.3662 0.3662 0.5491
P3 P 0.4638 0.4638 0.2098
P4 P 0.5362 0.5362 0.7902
P5 P 0.6338 0.6338 0.4509
P6 P 0.7984 0.7984 0.8670
Pd1 Pd 0.0452 0.0452 0.3324
Pd2 Pd 0.2280 0.2280 0.3919
Pd3 Pd 0.3215 0.3215 0.0351
Pd4 Pd 0.3691 0.3691 0.7916
Pd5 Pd 0.5000 0.5000 0.5000
Pd6 Pd 0.6309 0.6309 0.2084
Pd7 Pd 0.6785 0.6785 0.9649
Pd8 Pd 0.7720 0.7720 0.6081
Pd9 Pd 0.9548 0.9548 0.6676
```

Main lines, low angle first (10° ≤ 2θ ≤ 90°):
d [Å], I (rel.)
2.837, 44
2.619, 15
2.536, 100
2.523, 39
2.428, 25
2.239, 27
2.090, 30
1.998, 40

***

(3)
For Pm3P6Pd20, a cell relaxed with PBE gives the computed powder X-ray diffraction pattern in this record (Cu Kα).

```
data_Pm3P6Pd20
_cell_length_a 8.7268
_cell_length_b 8.7268
_cell_length_c 8.7268
_cell_angle_alpha 60.00
_cell_angle_beta 60.00
_cell_angle_gamma 60.00
_symmetry_space_group_name_H-M 'P 1'
_symmetry_Int_Tables_number 1
loop_
_symmetry_equiv_pos_as_xyz
'x,y,z'
loop_
_atom_site_label
_atom_site_type_symbol
_atom_site_fract_x
_atom_site_fract_y
_atom_site_fract_z
Pm1 Pm 0.0000 0.0000 0.0000
Pm2 Pm 0.2500 0.2500 0.2500
Pm3 Pm 0.7500 0.7500 0.7500
P1 P 0.2626 0.2626 0.7374
P2 P 0.2626 0.7374 0.2626
P3 P 0.2626 0.7374 0.7374
P4 P 0.7374 0.2626 0.2626
P5 P 0.7374 0.2626 0.7374
P6 P 0.7374 0.7374 0.2626
Pd1 Pd 0.0000 0.0000 0.3465
Pd2 Pd 0.0000 0.0000 0.6535
Pd3 Pd 0.0000 0.3465 0.0000
Pd4 Pd 0.0000 0.3465 0.6535
Pd5 Pd 0.0000 0.6535 0.0000
Pd6 Pd 0.0000 0.6535 0.3465
Pd7 Pd 0.1572 0.6143 0.6143
Pd8 Pd 0.3465 0.0000 0.0000
Pd9 Pd 0.3465 0.0000 0.6535
Pd10 Pd 0.3465 0.6535 0.0000
Pd11 Pd 0.3857 0.3857 0.3857
Pd12 Pd 0.3857 0.3857 0.8428
Pd13 Pd 0.3857 0.8428 0.3857
Pd14 Pd 0.6143 0.1572 0.6143
Pd15 Pd 0.6143 0.6143 0.1572
Pd16 Pd 0.6143 0.6143 0.6143
Pd17 Pd 0.6535 0.0000 0.0000
Pd18 Pd 0.6535 0.0000 0.3465
Pd19 Pd 0.6535 0.3465 0.0000
Pd20 Pd 0.8428 0.3857 0.3857
```

Main lines, low angle first (10° ≤ 2θ ≤ 90°):
d [Å], I (rel.)
2.760, 23
2.519, 32
2.375, 100
2.182, 31
2.086, 23
1.454, 29
1.425, 14
1.260, 19

***

(4)
For PmP2Pd6, a cell relaxed with PBE gives the computed powder X-ray diffraction pattern in this record (Cu Kα).

```
data_PmP2Pd6
_cell_length_a 4.1071
_cell_length_b 4.1071
_cell_length_c 8.6653
_cell_angle_alpha 90.00
_cell_angle_beta 90.00
_cell_angle_gamma 90.00
_symmetry_space_group_name_H-M 'P 1'
_symmetry_Int_Tables_number 1
loop_
_symmetry_equiv_pos_as_xyz
'x,y,z'
loop_
_atom_site_label
_atom_site_type_symbol
_atom_site_fract_x
_atom_site_fract_y
_atom_site_fract_z
Pm1 Pm 0.0000 0.0000 0.0000
P1 P 0.5000 0.5000 0.1290
P2 P 0.5000 0.5000 0.8710
Pd1 Pd 0.0000 0.0000 0.5000
Pd2 Pd 0.0000 0.5000 0.2727
Pd3 Pd 0.0000 0.5000 0.7273
Pd4 Pd 0.5000 0.0000 0.2727
Pd5 Pd 0.5000 0.0000 0.7273
Pd6 Pd 0.5000 0.5000 0.5000
```

Main lines, low angle first (10° ≤ 2θ ≤ 90°):
d [Å], I (rel.)
2.412, 100
2.166, 14
2.054, 38
2.048, 9
1.490, 17
1.452, 12
1.293, 10
1.244, 24